(1)
The following is a simulated XRD peak list of NaI2Cl6. It was derived from a PBE-relaxed structure, using Cu Kα, 1.54184 Å.

a b c (Å): 11.790 14.082 8.387
angles (deg): 90.00 113.16 90.00
Space group C2/c (No. 15)
Asymmetric unit:
Na  0.000  0.108  0.250 (multiplicity 4)
I  0.152  0.421  0.162 (multiplicity 8)
Cl  0.105  0.404  0.608 (multiplicity 8)
Cl  0.116  0.032  0.607 (multiplicity 8)
Cl  0.167  0.245  0.188 (multiplicity 8)

Top 10 peaks for 5 to 70 degrees two-theta, by angle:
h k l  two_theta  I (rel.)
1 1 0  10.3  57.7
0 2 0  12.6  50.5
0 2 1  17.1  29.0
1 1 1  17.7  28.7
2 2 -1  20.3  33.3
2 0 -2  22.4  100.0
3 1 0  25.4  32.3
0 4 1  27.9  22.1
2 6 -2  44.9  26.3
4 0 -4  45.8  23.1

***

(2)
The following is a simulated XRD peak list of TlReBr6. It was derived from a PBE-relaxed structure, using Cu Kα, 1.54184 Å.

a b c (Å): 11.545 8.477 11.205
angles (deg): 90.00 90.15 90.00
Space group C2/c (No. 15)
Asymmetric unit:
Tl  0.000  0.017  0.250 (multiplicity 4)
Re  0.250  0.250  0.500 (multiplicity 4)
Br  0.067  0.342  0.405 (multiplicity 8)
Br  0.165  0.298  0.701 (multiplicity 8)
Br  0.173  0.027  0.002 (multiplicity 8)

Top 10 peaks for 5 to 70 degrees two-theta, by angle:
h k l  two_theta  I (rel.)
1 1 0  13.0  31.0
1 1 -1  15.2  100.0
2 0 -2  22.1  47.6
2 2 0  26.1  22.1
3 1 2  30.1  55.6
0 0 4  31.9  24.0
1 3 0  32.6  28.6
1 3 1  33.6  21.5
1 1 -4  34.6  24.5
4 2 2  41.1  35.1

***

(3)
The following is a simulated XRD peak list of PmHo4Zn4. It was derived from a PBE-relaxed structure, using Cu Kα, 1.54184 Å.

a b c (Å): 9.478 9.478 5.077
angles (deg): 90.00 90.00 90.00
Space group I4/m (No. 87)
Asymmetric unit:
Pm  0.000  0.000  0.000 (multiplicity 2)
Ho  0.108  0.349  0.000 (multiplicity 8)
Zn  0.079  0.183  0.500 (multiplicity 8)

Top 10 peaks for 5 to 70 degrees two-theta, by angle:
h k l  two_theta  I (rel.)
1 2 1  27.4  100.0
1 3 0  29.8  59.3
3 0 1  33.4  36.0
0 0 2  35.4  47.3
4 0 0  38.0  15.7
3 2 1  38.6  96.4
1 3 2  46.9  34.2
1 5 2  61.9  19.1
6 1 1  62.3  17.4
3 2 3  65.6  30.8

***

(4)
The following is a simulated XRD peak list of MgCd2Pb. It was derived from a PBE-relaxed structure, using Cu Kα, 1.54184 Å.

a b c (Å): 3.609 4.960 5.594
angles (deg): 90.00 90.00 90.00
Space group Pmmm (No. 47)
Asymmetric unit:
Mg  0.000  0.000  0.000 (multiplicity 1)
Cd  0.000  0.500  0.500 (multiplicity 1)
Cd  0.500  0.000  0.500 (multiplicity 1)
Pb  0.500  0.500  0.000 (multiplicity 1)

Top 10 peaks for 5 to 70 degrees two-theta, by angle:
h k l  two_theta  I (rel.)
0 1 0  17.9  18.3
0 1 1  24.0  18.7
1 0 1  29.5  11.4
0 0 2  32.0  30.9
1 1 1  34.7  100.0
0 2 0  36.2  22.2
0 2 2  49.1  18.5
1 1 3  58.8  21.4
2 0 2  61.1  9.5
1 3 1  64.2  19.1